Record 1
Structure and calculated powder X-ray diffraction pattern of Ga2Cu3Se6O18 (a cell relaxed with PBE; copper Kα).
Kinematic intensities with the Lorentz-polarization factor, no thermal factor.

Principal peaks in the range 2θ = 10–90°, low angle first:
2θ (°)	intensity
24.02	38
25.72	100
25.92	90
30.46	30
33.98	38
35.34	45
36.76	22
36.91	25

Cell and atoms:
abc: 12.4745 8.3285 7.7121
angles: 90.00 95.78 90.00
Element x y z (fractional)
Ga1 0.1743 0.0065 0.3678
Ga2 0.1743 0.4935 0.8678
Ga3 0.8257 0.5065 0.1322
Ga4 0.8257 0.9935 0.6322
Cu1 0.3816 0.6270 0.1351
Cu2 0.3816 0.8730 0.6351
Cu3 0.5000 0.0000 0.0000
Cu4 0.5000 0.5000 0.5000
Cu5 0.6184 0.1270 0.3649
Cu6 0.6184 0.3730 0.8649
Se1 0.0439 0.1982 0.6377
Se2 0.0439 0.3018 0.1377
Se3 0.2151 0.5978 0.4492
Se4 0.2151 0.9022 0.9492
Se5 0.3900 0.1901 0.3080
Se6 0.3900 0.3099 0.8080
Se7 0.6100 0.6901 0.1920
Se8 0.6100 0.8099 0.6920
Se9 0.7849 0.0978 0.0508
Se10 0.7849 0.4022 0.5508
Se11 0.9561 0.6982 0.8623
Se12 0.9561 0.8018 0.3623
O1 0.0553 0.6124 0.7454
O2 0.0553 0.8876 0.2454
O3 0.1136 0.0252 0.5912
O4 0.1136 0.4748 0.0912
O5 0.1303 0.2330 0.3116
O6 0.1303 0.2670 0.8116
O7 0.2524 0.6986 0.9902
O8 0.2524 0.8014 0.4902
O9 0.2531 0.5128 0.6506
O10 0.2531 0.9872 0.1506
O11 0.3225 0.0959 0.4630
O12 0.3225 0.4041 0.9630
O13 0.3234 0.5305 0.3471
O14 0.3234 0.9695 0.8471
O15 0.4826 0.0402 0.2498
O16 0.4826 0.4598 0.7498
O17 0.5002 0.2323 0.9503
O18 0.5002 0.2677 0.4503
O19 0.4998 0.7323 0.5497
O20 0.4998 0.7677 0.0497
O21 0.5174 0.5402 0.2502
O22 0.5174 0.9598 0.7502
O23 0.6766 0.0305 0.1529
O24 0.6766 0.4695 0.6529
O25 0.6775 0.5959 0.0370
O26 0.6775 0.9041 0.5370
O27 0.7469 0.0128 0.8494
O28 0.7469 0.4872 0.3494
O29 0.7476 0.1986 0.5098
O30 0.7476 0.3014 0.0098
O31 0.8697 0.7330 0.1884
O32 0.8697 0.7670 0.6884
O33 0.8864 0.5252 0.9088
O34 0.8864 0.9748 0.4088
O35 0.9447 0.1124 0.7546
O36 0.9447 0.3876 0.2546

Record 2
Structure and calculated powder X-ray diffraction pattern of UGa2CuO8 (a cell relaxed with PBE; copper Kα).
Kinematic intensities with the Lorentz-polarization factor, no thermal factor.

Principal peaks in the range 2θ = 10–90°, low angle first:
2θ (°)	intensity
14.49	37
18.62	43
26.17	100
26.73	97
34.51	75
35.24	67
37.76	44
52.84	45

Cell and atoms:
abc: 4.7634 4.7718 6.1158
angles: 88.69 88.68 88.80
Element x y z (fractional)
U1 0.0000 0.0000 0.0000
Ga1 0.4938 0.4937 0.2602
Ga2 0.5062 0.5063 0.7398
Cu1 0.0000 0.0000 0.5000
O1 0.1946 0.1918 0.2622
O2 0.2018 0.1990 0.7491
O3 0.3057 0.6912 0.5001
O4 0.3142 0.6830 0.0000
O5 0.6858 0.3170 0.0000
O6 0.6943 0.3088 0.4999
O7 0.7982 0.8010 0.2509
O8 0.8054 0.8082 0.7378